Starting from a DFT-relaxed cell (GGA-PBE, OQMD), the powder diffraction line list of Th2B2C3 was calculated for Cu Kα, 1.54184 Å.

Peak list (8 most intense, 2θ = 10–90°, by angle)
Position (°2θ)  I (rel.)
25.35  59
26.13  100
27.19  70
31.95  98
33.28  46
33.99  87
48.44  45
54.23  45

Crystal structure
```
Th2B2C3
1.0
3.9913 0.0000 0.0000
0.0000 13.1205 0.0000
0.0000 0.0000 3.6472
Th B C
4 4 6
Cartesian
0.5709 1.8856 0.0000 Th
1.4247 8.4459 1.8236 Th
2.5666 4.6746 1.8236 Th
3.4204 11.2349 0.0000 Th
0.6658 5.8868 0.0000 B
1.3299 12.4471 1.8236 B
2.6614 0.6734 1.8236 B
3.3255 7.2337 0.0000 B
0.0000 0.0000 1.8236 C
0.4374 4.3680 0.0000 C
1.5583 10.9282 1.8236 C
1.9956 6.5603 0.0000 C
2.4330 2.1923 1.8236 C
3.5539 8.7525 0.0000 C
```

***

Starting from a DFT-relaxed cell (GGA-PBE, OQMD), the powder diffraction line list of B2W4C was calculated for Cu Kα, 1.54184 Å.

Peak list (8 most intense, 2θ = 10–90°, by angle)
Position (°2θ)  I (rel.)
33.07  33
34.43  100
36.90  27
38.05  49
40.67  58
43.40  28
44.45  37
70.37  31

Crystal structure
```
B2W4C
1.0
5.6445 0.0000 0.0000
0.0000 9.6505 0.0000
0.0000 0.0000 3.0944
B W C
4 8 2
Cartesian
0.5412 1.6211 0.0000 B
2.2811 6.4463 0.0000 B
3.3634 3.2041 0.0000 B
5.1033 8.0294 0.0000 B
0.6248 6.8156 1.5472 W
1.3874 4.3257 0.0000 W
1.4349 9.1510 0.0000 W
2.1974 1.9903 1.5472 W
3.4471 7.6601 1.5472 W
4.2097 0.4995 0.0000 W
4.2571 5.3247 0.0000 W
5.0197 2.8349 1.5472 W
0.0000 4.8252 1.5472 C
2.8223 0.0000 1.5472 C
```

***

Starting from a DFT-relaxed cell (GGA-PBE, OQMD), the powder diffraction line list of B2W4C5 was calculated for Cu Kα, 1.54184 Å.

Peak list (8 most intense, 2θ = 10–90°, by angle)
Position (°2θ)  I (rel.)
19.42  56
29.31  58
37.86  100
38.85  30
40.44  41
42.59  41
45.24  80
51.77  26

Crystal structure
```
B2W4C5
1.0
2.7673 0.0000 0.0000
-1.3837 2.3966 0.0000
0.0000 0.0000 18.2847
B W C
2 4 5
Cartesian
0.0000 1.5977 18.2844 B
1.3837 0.7989 0.0003 B
0.0000 0.0000 1.7672 W
0.0000 0.0000 16.5175 W
0.0000 1.5977 10.5812 W
1.3837 0.7989 7.7035 W
0.0000 0.0000 9.1424 C
0.0000 1.5977 5.5749 C
0.0000 1.5977 12.7742 C
1.3837 0.7989 5.5105 C
1.3837 0.7989 12.7098 C
```

***

Starting from a DFT-relaxed cell (GGA-PBE, OQMD), the powder diffraction line list of B2W4C was calculated for Cu Kα, 1.54184 Å.

Peak list (8 most intense, 2θ = 10–90°, by angle)
Position (°2θ)  I (rel.)
32.37  27
36.17  53
39.15  79
40.93  100
43.64  27
48.00  34
70.06  26
73.68  25

Crystal structure
```
B2W4C
1.0
9.5794 0.0000 0.0000
-4.7897 8.2960 0.0000
0.0000 0.0000 3.1008
B W C
6 12 3
Cartesian
0.0000 0.0000 0.0000 B
-1.3403 2.3215 1.5504 B
2.6807 0.0000 1.5504 B
0.0000 5.5307 1.5504 B
4.7897 2.7653 1.5504 B
3.4494 5.9745 1.5504 B
-2.5348 4.3904 1.5504 W
-3.9654 6.8683 1.5504 W
0.8243 1.4277 1.5504 W
-0.2883 3.7521 0.0000 W
-1.3961 6.6696 0.0000 W
3.3936 1.6264 0.0000 W
2.2549 3.9056 1.5504 W
5.0696 0.0000 1.5504 W
1.6844 6.1703 0.0000 W
4.5014 4.5439 0.0000 W
6.4741 2.1258 0.0000 W
7.9309 0.0000 1.5504 W
-3.2478 5.6254 0.0000 C
1.5419 2.6706 0.0000 C
6.4957 0.0000 0.0000 C
```

***

Starting from a DFT-relaxed cell (GGA-PBE, OQMD), the powder diffraction line list of B8W17C was calculated for Cu Kα, 1.54184 Å.

Peak list (8 most intense, 2θ = 10–90°, by angle)
Position (°2θ)  I (rel.)
31.72  16
33.33  100
35.40  44
41.48  45
41.64  68
41.75  23
42.11  21
44.51  20

Crystal structure
```
B8W17C
1.0
5.6977 -3.4221 0.0000
5.6977 3.4221 0.0000
-1.6304 0.0000 8.6861
B W C
8 17 1
Cartesian
3.7352 1.7394 6.9253 B
1.5426 0.0000 4.5988 B
3.3141 0.0000 0.4373 B
6.0299 1.7394 1.7608 B
3.7352 -1.7394 6.9253 B
6.4510 0.0000 8.2488 B
8.2225 0.0000 4.0873 B
6.0299 -1.7394 1.7608 B
-0.5617 0.0000 5.8869 W
4.1376 2.1180 0.3025 W
3.3674 1.4164 4.6051 W
1.8448 0.0000 2.2331 W
2.0528 0.0000 6.7901 W
5.6275 2.1180 8.3836 W
6.3977 1.4164 4.0810 W
4.6040 0.0000 2.3620 W
5.6977 0.0000 0.0000 W
5.1611 0.0000 6.3241 W
3.3674 -1.4164 4.6051 W
4.1376 -2.1180 0.3025 W
7.7123 0.0000 1.8960 W
7.9203 0.0000 6.4530 W
6.3977 -1.4164 4.0810 W
5.6275 -2.1180 8.3836 W
10.3268 0.0000 2.7992 W
4.8826 0.0000 4.3431 C
```

***

Starting from a DFT-relaxed cell (GGA-PBE, OQMD), the powder diffraction line list of BW6C3 was calculated for Cu Kα, 1.54184 Å.

Peak list (8 most intense, 2θ = 10–90°, by angle)
Position (°2θ)  I (rel.)
34.16  60
35.48  100
36.13  32
39.66  41
40.11  76
40.68  49
42.18  38
75.11  30

Crystal structure
```
BW6C3
1.0
8.9991 0.0000 0.0000
0.0000 3.0605 0.0000
-3.0255 0.0000 8.6359
B W C
2 12 6
Cartesian
-0.0949 0.7651 1.6543 B
6.0686 2.2954 6.9815 B
-0.5393 2.2954 3.3979 W
-1.7736 0.7651 8.3249 W
-0.4378 2.2954 6.3523 W
1.7234 2.2954 2.0900 W
1.7748 0.7651 4.9239 W
3.9098 0.7651 1.0729 W
2.0638 2.2954 7.5629 W
4.1989 2.2954 3.7120 W
4.2503 0.7651 6.5458 W
6.4115 0.7651 2.2835 W
7.7473 2.2954 0.3109 W
6.5130 0.7651 5.2379 W
-0.3253 0.7651 4.9038 C
-0.0174 2.2954 8.4512 C
2.8842 0.7651 3.0358 C
3.0895 2.2954 5.6000 C
5.9910 0.7651 0.1846 C
6.2989 2.2954 3.7321 C
```